(1)
This entry pairs a crystal structure of Te4MoW3Se4 with its computed powder XRD pattern. Radiation: copper Kα. Structure: a crystal structure in the Materials Project, relaxed with PBE.
Peak positions follow from Bragg's law for the DFT cell and can differ from measured ones.

Most intense lines, 10 to 90 degrees two-theta, by intensity:
hkl 0 0 5, 2θ = 11.29°, rel. 100.0
hkl 1 0 8, 2θ = 35.29°, rel. 83.7
hkl 1 0 13, 2θ = 42.70°, rel. 53.2
hkl 1 0 0, 2θ = 30.04°, rel. 43.2
hkl 1 1 0, 2θ = 53.32°, rel. 32.7
hkl 0 0 6, 2θ = 13.56°, rel. 20.5
hkl 0 1 14, 2θ = 44.44°, rel. 18.6
hkl 1 1 21, 2θ = 75.18°, rel. 15.0
hkl 2 0 8, 2θ = 65.56°, rel. 13.7
hkl 1 0 5, 2θ = 32.17°, rel. 13.6

Atomic structure:
```
data_Te4MoW3Se4
_cell_length_a 3.4369
_cell_length_b 3.4369
_cell_length_c 39.1717
_cell_angle_alpha 90.00
_cell_angle_beta 90.00
_cell_angle_gamma 120.00
_space_group_name_H-M_alt 'P 3 m 1'
_space_group_IT_number 156
_space_group_name_Hall 'P 3 -2"'
loop_
_atom_site_label
_atom_site_type_symbol
_atom_site_fract_x
_atom_site_fract_y
_atom_site_fract_z
_atom_site_occupancy
Te1 Te 0.0000 0.0000 0.0000 1
Te2 Te 0.0000 0.0000 0.0954 1
Te3 Te 0.3333 0.6667 0.8124 1
Te4 Te 0.3333 0.6667 0.9071 1
Mo1 Mo 0.0000 0.0000 0.8597 1
W1 W 0.0000 0.0000 0.2355 1
W2 W 0.3333 0.6667 0.0477 1
W3 W 0.3333 0.6667 0.4234 1
Se1 Se 0.0000 0.0000 0.3814 1
Se2 Se 0.0000 0.0000 0.4653 1
Se3 Se 0.3333 0.6667 0.1936 1
Se4 Se 0.3333 0.6667 0.2775 1
```

(2)
This entry pairs a crystal structure of Te2MoWSe2 with its computed powder XRD pattern. Radiation: copper Kα. Structure: a crystal structure in the Materials Project, relaxed with PBE.
Peak positions follow from Bragg's law for the DFT cell and can differ from measured ones.

Most intense lines, 10 to 90 degrees two-theta, by intensity:
hkl 0 0 5, 2θ = 11.30°, rel. 100.0
hkl 1 0 8, 2θ = 35.25°, rel. 91.8
hkl 1 0 13, 2θ = 42.67°, rel. 58.8
hkl 1 0 0, 2θ = 29.98°, rel. 48.0
hkl 1 1 0, 2θ = 53.21°, rel. 37.8
hkl 1 0 14, 2θ = 44.42°, rel. 19.2
hkl 1 1 21, 2θ = 75.11°, rel. 18.0
hkl 0 1 9, 2θ = 36.53°, rel. 15.9
hkl 2 0 8, 2θ = 65.44°, rel. 14.9
hkl 0 0 6, 2θ = 13.57°, rel. 14.5

Atomic structure:
```
data_Te2MoWSe2
_cell_length_a 3.4434
_cell_length_b 3.4434
_cell_length_c 39.1429
_cell_angle_alpha 90.00
_cell_angle_beta 90.00
_cell_angle_gamma 120.00
_space_group_name_H-M_alt 'P 3 m 1'
_space_group_IT_number 156
_space_group_name_Hall 'P 3 -2"'
loop_
_atom_site_label
_atom_site_type_symbol
_atom_site_fract_x
_atom_site_fract_y
_atom_site_fract_z
_atom_site_occupancy
Te1 Te 0.0000 0.0000 0.0000 1
Te2 Te 0.0000 0.0000 0.0952 1
Te3 Te 0.3333 0.6667 0.8121 1
Te4 Te 0.3333 0.6667 0.9073 1
Mo1 Mo 0.0000 0.0000 0.4840 1
Mo2 Mo 0.3333 0.6667 0.6718 1
W1 W 0.0000 0.0000 0.8597 1
W2 W 0.3333 0.6667 0.0476 1
Se1 Se 0.0000 0.0000 0.6301 1
Se2 Se 0.0000 0.0000 0.7137 1
Se3 Se 0.3333 0.6667 0.4422 1
Se4 Se 0.3333 0.6667 0.5258 1
```

(3)
This entry pairs a crystal structure of TeMoWSe3 with its computed powder XRD pattern. Radiation: copper Kα. Structure: a crystal structure in the Materials Project, relaxed with PBE.
Peak positions follow from Bragg's law for the DFT cell and can differ from measured ones.

Most intense lines, 10 to 90 degrees two-theta, by intensity:
hkl 0 0 5, 2θ = 11.49°, rel. 100.0
hkl 1 0 8, 2θ = 35.90°, rel. 82.0
hkl 1 0 13, 2θ = 43.45°, rel. 53.0
hkl 1 0 0, 2θ = 30.55°, rel. 44.9
hkl 1 1 0, 2θ = 54.28°, rel. 32.4
hkl 1 0 14, 2θ = 45.23°, rel. 17.6
hkl 0 0 6, 2θ = 13.79°, rel. 17.0
hkl 1 1 21, 2θ = 76.66°, rel. 14.4
hkl 0 2 8, 2θ = 66.79°, rel. 13.2
hkl 1 0 5, 2θ = 32.72°, rel. 13.1

Atomic structure:
```
data_TeMoWSe3
_cell_length_a 3.3808
_cell_length_b 3.3808
_cell_length_c 38.5173
_cell_angle_alpha 90.00
_cell_angle_beta 90.00
_cell_angle_gamma 120.00
_space_group_name_H-M_alt 'P 3 m 1'
_space_group_IT_number 156
_space_group_name_Hall 'P 3 -2"'
loop_
_atom_site_label
_atom_site_type_symbol
_atom_site_fract_x
_atom_site_fract_y
_atom_site_fract_z
_atom_site_occupancy
Te1 Te 0.0000 0.0000 0.0000 1
Te2 Te 0.0000 0.0000 0.0977 1
Mo1 Mo 0.0000 0.0000 0.8610 1
Mo2 Mo 0.3333 0.6667 0.0489 1
W1 W 0.0000 0.0000 0.2368 1
W2 W 0.3333 0.6667 0.4246 1
Se1 Se 0.0000 0.0000 0.3814 1
Se2 Se 0.0000 0.0000 0.4678 1
Se3 Se 0.3333 0.6667 0.1936 1
Se4 Se 0.3333 0.6667 0.2799 1
Se5 Se 0.3333 0.6667 0.8180 1
Se6 Se 0.3333 0.6667 0.9040 1
```

(4)
This entry pairs a crystal structure of Te3MoWSe with its computed powder XRD pattern. Radiation: copper Kα. Structure: a crystal structure in the Materials Project, relaxed with PBE.
Peak positions follow from Bragg's law for the DFT cell and can differ from measured ones.

Most intense lines, 10 to 90 degrees two-theta, by intensity:
hkl 0 1 8, 2θ = 34.72°, rel. 100.0
hkl 0 0 5, 2θ = 11.16°, rel. 97.8
hkl 1 0 13, 2θ = 42.06°, rel. 64.2
hkl 1 0 0, 2θ = 29.51°, rel. 55.2
hkl 1 1 0, 2θ = 52.34°, rel. 38.2
hkl 0 1 14, 2θ = 43.77°, rel. 20.4
hkl 1 1 21, 2θ = 73.89°, rel. 18.4
hkl 2 0 8, 2θ = 64.34°, rel. 16.9
hkl 1 0 5, 2θ = 31.63°, rel. 15.4
hkl 1 2 8, 2θ = 87.47°, rel. 14.6

Atomic structure:
```
data_Te3MoWSe
_cell_length_a 3.4965
_cell_length_b 3.4965
_cell_length_c 39.6350
_cell_angle_alpha 90.00
_cell_angle_beta 90.00
_cell_angle_gamma 120.00
_space_group_name_H-M_alt 'P 3 m 1'
_space_group_IT_number 156
_space_group_name_Hall 'P 3 -2"'
loop_
_atom_site_label
_atom_site_type_symbol
_atom_site_fract_x
_atom_site_fract_y
_atom_site_fract_z
_atom_site_occupancy
Te1 Te 0.0000 0.0000 0.0000 1
Te2 Te 0.0000 0.0000 0.0925 1
Te3 Te 0.0000 0.0000 0.3757 1
Te4 Te 0.0000 0.0000 0.4682 1
Te5 Te 0.6667 0.3333 0.5633 1
Te6 Te 0.6667 0.3333 0.6564 1
Mo1 Mo 0.6667 0.3333 0.0462 1
Mo2 Mo 0.6667 0.3333 0.4220 1
W1 W 0.0000 0.0000 0.2341 1
W2 W 0.0000 0.0000 0.6099 1
Se1 Se 0.6667 0.3333 0.1932 1
Se2 Se 0.6667 0.3333 0.2751 1
```

(5)
This entry pairs a crystal structure of TeMoWSe3 with its computed powder XRD pattern. Radiation: copper Kα. Structure: a crystal structure in the Materials Project, relaxed with PBE.
Peak positions follow from Bragg's law for the DFT cell and can differ from measured ones.

Most intense lines, 10 to 90 degrees two-theta, by intensity:
hkl 0 0 5, 2θ = 11.50°, rel. 100.0
hkl 1 0 8, 2θ = 35.89°, rel. 80.4
hkl 1 0 13, 2θ = 43.46°, rel. 52.6
hkl 1 0 0, 2θ = 30.54°, rel. 45.8
hkl 1 1 0, 2θ = 54.24°, rel. 34.3
hkl 0 1 14, 2θ = 45.24°, rel. 19.2
hkl 0 0 6, 2θ = 13.81°, rel. 18.5
hkl 0 1 9, 2θ = 37.21°, rel. 17.4
hkl 1 1 21, 2θ = 76.67°, rel. 15.2
hkl 1 0 7, 2θ = 34.70°, rel. 14.5

Atomic structure:
```
data_TeMoWSe3
_cell_length_a 3.3829
_cell_length_b 3.3829
_cell_length_c 38.4722
_cell_angle_alpha 90.00
_cell_angle_beta 90.00
_cell_angle_gamma 120.00
_space_group_name_H-M_alt 'P 3 m 1'
_space_group_IT_number 156
_space_group_name_Hall 'P 3 -2"'
loop_
_atom_site_label
_atom_site_type_symbol
_atom_site_fract_x
_atom_site_fract_y
_atom_site_fract_z
_atom_site_occupancy
Te1 Te 0.0000 0.0000 0.0000 1
Te2 Te 0.0000 0.0000 0.0981 1
Mo1 Mo 0.0000 0.0000 0.2369 1
Mo2 Mo 0.6667 0.3333 0.6733 1
W1 W 0.0000 0.0000 0.8612 1
W2 W 0.6667 0.3333 0.0490 1
Se1 Se 0.0000 0.0000 0.6303 1
Se2 Se 0.0000 0.0000 0.7163 1
Se3 Se 0.6667 0.3333 0.1939 1
Se4 Se 0.6667 0.3333 0.2799 1
Se5 Se 0.6667 0.3333 0.8180 1
Se6 Se 0.6667 0.3333 0.9043 1
```

(6)
This entry pairs a crystal structure of Te4MoW3Se4 with its computed powder XRD pattern. Radiation: copper Kα. Structure: a crystal structure in the Materials Project, relaxed with PBE.
Peak positions follow from Bragg's law for the DFT cell and can differ from measured ones.

Most intense lines, 10 to 90 degrees two-theta, by intensity:
hkl 0 0 5, 2θ = 11.28°, rel. 100.0
hkl 1 0 8, 2θ = 35.28°, rel. 87.3
hkl 0 1 13, 2θ = 42.68°, rel. 55.2
hkl 1 0 0, 2θ = 30.04°, rel. 46.2
hkl 1 1 0, 2θ = 53.31°, rel. 34.1
hkl 1 0 14, 2θ = 44.41°, rel. 16.7
hkl 1 1 21, 2θ = 75.13°, rel. 15.5
hkl 1 0 5, 2θ = 32.16°, rel. 14.4
hkl 0 2 8, 2θ = 65.55°, rel. 14.3
hkl 1 0 9, 2θ = 36.56°, rel. 13.7

Atomic structure:
```
data_Te4MoW3Se4
_cell_length_a 3.4373
_cell_length_b 3.4373
_cell_length_c 39.2087
_cell_angle_alpha 90.00
_cell_angle_beta 90.00
_cell_angle_gamma 120.00
_space_group_name_H-M_alt 'P 3 m 1'
_space_group_IT_number 156
_space_group_name_Hall 'P 3 -2"'
loop_
_atom_site_label
_atom_site_type_symbol
_atom_site_fract_x
_atom_site_fract_y
_atom_site_fract_z
_atom_site_occupancy
Te1 Te 0.0000 0.0000 0.0000 1
Te2 Te 0.0000 0.0000 0.0947 1
Te3 Te 0.3333 0.6667 0.1877 1
Te4 Te 0.3333 0.6667 0.2829 1
Mo1 Mo 0.3333 0.6667 0.0474 1
W1 W 0.0000 0.0000 0.2353 1
W2 W 0.0000 0.0000 0.8595 1
W3 W 0.3333 0.6667 0.4231 1
Se1 Se 0.0000 0.0000 0.3812 1
Se2 Se 0.0000 0.0000 0.4650 1
Se3 Se 0.3333 0.6667 0.8176 1
Se4 Se 0.3333 0.6667 0.9014 1
```